Record 1
Diffraction record for Zr2FeAu. The X-ray diffraction stick pattern is calculated, not measured: it uses the GGA-PBE geometry in Alexandria and Cu Kα (weighted mean of Kα1 and Kα2).
Neutral-atom scattering factors, no anomalous dispersion.

Peak list (12 most intense, 10 to 90 degrees two-theta, by angle)
(hkl)  2theta  d/Å  I/Imax
0 0 1  17.2  5.163  18
0 1 0  21.1  4.204  14
1 0 -1  27.2  3.279  13
1 1 -1  34.7  2.585  100
1 0 1  36.8  2.439  22
0 1 2  41.0  2.200  31
1 1 1  42.9  2.110  47
0 2 0  43.0  2.102  24
2 0 -1  53.0  1.729  13
1 2 1  57.9  1.593  16
1 0 3  69.2  1.358  11
1 0 -4  69.3  1.356  11

Structure:
```
data_Zr2FeAu
_cell_length_a 3.4576
_cell_length_b 4.2045
_cell_length_c 5.4422
_cell_angle_alpha 90.00
_cell_angle_beta 108.42
_cell_angle_gamma 90.00
_space_group_name_H-M_alt 'P 1 m 1'
_space_group_IT_number 6
loop_
_space_group_symop_operation_xyz
'x,y,z'
'x,-y,z'
loop_
_atom_site_label
_atom_site_fract_x
_atom_site_fract_y
_atom_site_fract_z
_atom_site_occupancy
Zr1 0.0000 0.0000 0.0000 1
Zr2 0.2995 0.5000 0.6017 1
Fe1 0.7530 0.0000 0.5091 1
Au1 0.5782 0.5000 0.1572 1
```

---

Record 2
Diffraction record for Zr3FeAu. The X-ray diffraction stick pattern is calculated, not measured: it uses the GGA-PBE geometry in Alexandria and Cu Kα (weighted mean of Kα1 and Kα2).
Neutral-atom scattering factors, no anomalous dispersion.

Peak list (12 most intense, 10 to 90 degrees two-theta, by angle)
(hkl)  2theta  d/Å  I/Imax
2 0 0  22.7  3.923  58
2 0 1  30.6  2.919  59
0 2 1  33.1  2.709  25
3 1 -2  33.6  2.664  53
1 1 2  34.8  2.576  45
3 1 0  37.7  2.384  28
2 2 -2  38.6  2.333  100
0 2 2  39.1  2.302  79
2 0 -4  40.8  2.210  43
4 0 0  46.3  1.962  31
2 2 -5  61.9  1.498  29
4 2 2  72.5  1.304  23

Structure:
```
data_Zr3FeAu
_cell_length_a 9.1758
_cell_length_b 5.8035
_cell_length_c 8.8433
_cell_angle_alpha 90.00
_cell_angle_beta 121.18
_cell_angle_gamma 90.00
_space_group_name_H-M_alt 'C 1 2/m 1'
_space_group_IT_number 12
loop_
_space_group_symop_operation_xyz
'x,y,z'
'-x,-y,-z'
'-x,y,-z'
'x,-y,z'
'x+1/2,y+1/2,z'
'-x+1/2,-y+1/2,-z'
'-x+1/2,y+1/2,-z'
'x+1/2,-y+1/2,z'
loop_
_atom_site_label
_atom_site_fract_x
_atom_site_fract_y
_atom_site_fract_z
_atom_site_occupancy
Zr1 0.0534 0.0000 0.2601 1
Zr2 0.1940 0.5000 0.8878 1
Zr3 0.2064 0.5000 0.2604 1
Fe1 0.0000 0.2502 0.0000 1
Au1 0.0000 0.2740 0.5000 1
```

---

Record 3
Diffraction record for Ga3Au8. The X-ray diffraction stick pattern is calculated, not measured: it uses the GGA-PBE geometry in Alexandria and Cu Kα (weighted mean of Kα1 and Kα2).
Neutral-atom scattering factors, no anomalous dispersion.

Peak list (12 most intense, 10 to 90 degrees two-theta, by angle)
(hkl)  2theta  d/Å  I/Imax
0 0 2  25.9  3.435  52
2 0 1  28.3  3.150  14
2 2 0  32.2  2.779  64
3 1 0  39.4  2.286  10
0 4 0  40.3  2.237  34
2 2 -2  41.8  2.160  100
0 2 3  44.4  2.038  17
0 4 2  48.6  1.875  19
4 0 0  51.6  1.773  12
4 4 0  67.4  1.389  10
2 0 -5  74.0  1.281  9
2 6 -2  74.3  1.276  18

Structure:
```
data_Ga3Au8
_cell_length_a 7.0906
_cell_length_b 8.9481
_cell_length_c 6.8694
_cell_angle_alpha 90.00
_cell_angle_beta 90.08
_cell_angle_gamma 90.00
_space_group_name_H-M_alt 'C 1 2/m 1'
_space_group_IT_number 12
loop_
_space_group_symop_operation_xyz
'x,y,z'
'-x,-y,-z'
'-x,y,-z'
'x,-y,z'
'x+1/2,y+1/2,z'
'-x+1/2,-y+1/2,-z'
'-x+1/2,y+1/2,-z'
'x+1/2,-y+1/2,z'
loop_
_atom_site_label
_atom_site_fract_x
_atom_site_fract_y
_atom_site_fract_z
_atom_site_occupancy
Ga1 0.0000 0.0000 0.0000 1
Ga2 0.2500 0.2500 0.5000 1
Au1 0.0005 0.2393 0.7893 1
Au2 0.2134 0.5000 0.2686 1
Au3 0.2139 0.5000 0.7302 1
```

---

Record 4
Diffraction record for GaAu. The X-ray diffraction stick pattern is calculated, not measured: it uses the GGA-PBE geometry in Alexandria and Cu Kα (weighted mean of Kα1 and Kα2).
Neutral-atom scattering factors, no anomalous dispersion.

Peak list (12 most intense, 10 to 90 degrees two-theta, by angle)
(hkl)  2theta  d/Å  I/Imax
1 1 0  14.1  6.268  71
2 0 0  20.0  4.432  77
2 1 1  28.9  3.090  69
3 1 0  31.9  2.803  38
0 0 2  36.4  2.467  46
3 2 1  41.0  2.201  42
2 0 2  41.9  2.156  24
3 3 0  43.3  2.089  30
4 1 1  46.0  1.971  100
3 1 2  49.2  1.852  23
3 3 2  57.8  1.594  26
4 1 3  72.3  1.306  27

Structure:
```
data_GaAu
_cell_length_a 8.8650
_cell_length_b 8.8650
_cell_length_c 4.9338
_cell_angle_alpha 90.00
_cell_angle_beta 90.00
_cell_angle_gamma 90.00
_space_group_name_H-M_alt 'I 4/m c m'
_space_group_IT_number 140
_space_group_name_Hall '-I 4 2c'
loop_
_atom_site_label
_atom_site_fract_x
_atom_site_fract_y
_atom_site_fract_z
_atom_site_occupancy
Ga1 0.1109 0.3891 0.0000 1
Au1 0.1835 0.3165 0.5000 1
```